This entry pairs a crystal structure of EuNbInSnO6 with its computed powder diffraction line list. Radiation: λ = 1.5418 Å (Cu Kα). Structure: a structure optimized by DFT (GGA-PBE).
Lines closer than 0.1° are merged.

Top 7 peaks for 2θ from 5° to 70°, in order of rising 2θ:
2θ (°)	I (rel.)	(hkl)
18.6	1	1 1 1
30.6	100	2 2 0
36.0	1	3 1 1
37.7	5	2 2 2
43.8	30	4 0 0
54.3	40	4 2 2
63.6	19	4 4 0

Cell and atoms:
```
data_EuNbInSnO6
_cell_length_a 8.272
_cell_length_b 8.272
_cell_length_c 8.272
_cell_angle_alpha 90.00
_cell_angle_beta 90.00
_cell_angle_gamma 90.00
_symmetry_space_group_name_H-M 'F -4 3 m'
_symmetry_Int_Tables_number 216
_symmetry_space_group_name_Hall 'F -4 2 3'
loop_
_atom_site_label
_atom_site_type_symbol
_atom_site_fract_x
_atom_site_fract_y
_atom_site_fract_z
Eu1 Eu 0.000 0.000 0.000
Nb1 Nb 0.250 0.250 0.750
In1 In 0.250 0.250 0.250
Sn1 Sn 0.000 0.000 0.500
O1 O 0.008 0.250 0.750
```